Starting from the PBE geometry in Alexandria, the powder XRD pattern of Pu3MnSi3 was calculated for CuKα.
Kinematic intensities with the Lorentz-polarization factor, no thermal factor.

Cell and atoms:
```
data_Pu3MnSi3
_symmetry_space_group_name_H-M 'C m c m'
_symmetry_Int_Tables_number 63
_symmetry_space_group_name_Hall '-C 2c 2'
_cell_length_a 3.9892
_cell_length_b 10.6071
_cell_length_c 13.0231
_cell_angle_alpha 90.00
_cell_angle_beta 90.00
_cell_angle_gamma 90.00
loop_
_atom_site_label
_atom_site_fract_x
_atom_site_fract_y
_atom_site_fract_z
Pu1 0.0000 0.0320 0.2500
Pu2 0.0000 0.2795 0.5962
Mn1 0.0000 0.0000 0.0000
Si1 0.0000 0.3117 0.2500
Si2 0.0000 0.4363 0.0956
```

Top 12 peaks for 10 to 90 degrees two-theta, low angle first:
2θ = 21.61°, I 382, hkl 0 2 2; 2θ = 24.81°, I 221, hkl 1 1 1; 2θ = 27.54°, I 253, hkl 1 1 2; 2θ = 31.61°, I 1000, hkl 1 1 3; 2θ = 32.26°, I 574, hkl 0 2 4; 2θ = 33.85°, I 693, hkl 0 4 0; 2θ = 34.59°, I 455, hkl 1 3 1; 2θ = 36.62°, I 411, hkl 1 1 4; 2θ = 39.86°, I 558, hkl 0 4 3; 2θ = 41.61°, I 219, hkl 0 0 6; 2θ = 45.47°, I 267, hkl 2 0 0; 2θ = 56.85°, I 238, hkl 2 2 4